Computed powder diffractogram
Compound: SmMgInGa
Radiation: Cu Kα
Structure: a PBE-relaxed structure
No peak broadening, texture or thermal motion is included.

Main lines, low angle first (5 to 70 degrees two-theta):
d 4.499, intensity 21; d 3.215, intensity 18; d 2.616, intensity 100; d 2.331, intensity 18; d 2.249, intensity 16; d 2.220, intensity 16

Cell: 4.4396 4.4987 4.6619 Å, 90.00 90.00 90.00°
Positions (direct):
Sm: 0.0000 0.0000 0.0000
Mg: 0.0000 0.5000 0.5000
In: 0.5000 0.0000 0.5000
Ga: 0.5000 0.5000 0.0000

Computed powder diffractogram
Compound: SrMg2In2Ga
Radiation: Cu Kα
Structure: a PBE-relaxed structure
No peak broadening, texture or thermal motion is included.

Main lines, low angle first (5 to 70 degrees two-theta):
d 3.716, intensity 68; d 2.861, intensity 100; d 2.443, intensity 77; d 2.209, intensity 28; d 1.858, intensity 28; d 1.479, intensity 26

Cell: 4.8854 4.8854 7.7688 Å, 90.00 90.00 120.00°
Positions (direct):
Sr: 0.0000 0.0000 0.0000
Mg: 0.3333 0.6667 0.6417
Mg: 0.6667 0.3333 0.3583
In: 0.3333 0.6667 0.2456
In: 0.6667 0.3333 0.7544
Ga: 0.0000 0.0000 0.5000

Computed powder diffractogram
Compound: Sr2MgIn6Ga
Radiation: Cu Kα
Structure: a PBE-relaxed structure
No peak broadening, texture or thermal motion is included.

Main lines, low angle first (5 to 70 degrees two-theta):
d 3.157, intensity 48; d 2.959, intensity 87; d 2.763, intensity 100; d 2.409, intensity 34; d 1.909, intensity 25; d 1.856, intensity 33

Cell: 13.3347 13.3347 13.3347 Å, 32.32 32.32 32.32°
Positions (direct):
Sr: 0.1103 0.1103 0.1103
Sr: 0.2871 0.2871 0.2871
Sr: 0.7129 0.7129 0.7129
Sr: 0.8897 0.8897 0.8897
Mg: 0.0000 0.0000 0.0000
Mg: 0.5000 0.5000 0.5000
In: 0.0673 0.6616 0.6616
In: 0.2299 0.2299 0.6520
In: 0.2299 0.6520 0.2299
In: 0.3384 0.3384 0.9327
In: 0.3384 0.9327 0.3384
In: 0.3480 0.7701 0.7701
In: 0.6520 0.2299 0.2299
In: 0.6616 0.0673 0.6616
In: 0.6616 0.6616 0.0673
In: 0.7701 0.3480 0.7701
In: 0.7701 0.7701 0.3480
In: 0.9327 0.3384 0.3384
Ga: 0.4284 0.4284 0.4284
Ga: 0.5716 0.5716 0.5716

Computed powder diffractogram
Compound: In3Ga3N5
Radiation: Cu Kα
Structure: a PBE-relaxed structure
No peak broadening, texture or thermal motion is included.

Main lines, low angle first (5 to 70 degrees two-theta):
d 3.242, intensity 63; d 2.966, intensity 52; d 2.708, intensity 100; d 2.668, intensity 100; d 2.655, intensity 83; d 2.627, intensity 50

Cell: 5.9901 6.6032 8.7731 Å, 106.29 96.36 92.60°
Positions (direct):
In: 0.1614 0.1300 0.2549
In: 0.1737 0.3432 0.9234
In: 0.3002 0.9269 0.6086
In: 0.6998 0.0731 0.3914
In: 0.8263 0.6568 0.0766
In: 0.8386 0.8700 0.7451
Ga: 0.1824 0.4350 0.5877
Ga: 0.3620 0.8070 0.9694
Ga: 0.3734 0.6189 0.2888
Ga: 0.6266 0.3811 0.7112
Ga: 0.6380 0.1930 0.0306
Ga: 0.8176 0.5650 0.4123
N: 0.1529 0.6083 0.4359
N: 0.1945 0.6800 0.1073
N: 0.3518 0.0566 0.8852
N: 0.3670 0.5389 0.7969
N: 0.3831 0.1994 0.5229
N: 0.6169 0.8006 0.4771
N: 0.6330 0.4611 0.2031
N: 0.6482 0.9434 0.1148
N: 0.8055 0.3200 0.8927
N: 0.8471 0.3917 0.5641

Computed powder diffractogram
Compound: InGa3N4
Radiation: Cu Kα
Structure: a PBE-relaxed structure
No peak broadening, texture or thermal motion is included.

Main lines, low angle first (5 to 70 degrees two-theta):
d 2.860, intensity 41; d 2.707, intensity 33; d 2.529, intensity 100; d 1.651, intensity 28; d 1.526, intensity 28; d 1.410, intensity 25

Cell: 3.3025 3.3025 10.8280 Å, 90.00 90.00 120.00°
Positions (direct):
In: 0.0000 0.0000 0.0000
Ga: 0.0000 0.0000 0.5001
Ga: 0.6667 0.3333 0.2609
Ga: 0.6667 0.3333 0.7396
N: 0.0000 0.0000 0.3184
N: 0.0000 0.0000 0.7970
N: 0.6667 0.3333 0.0815
N: 0.6667 0.3333 0.5577

Computed powder diffractogram
Compound: InGaN
Radiation: Cu Kα
Structure: a PBE-relaxed structure
No peak broadening, texture or thermal motion is included.

Main lines, low angle first (5 to 70 degrees two-theta):
d 2.870, intensity 100; d 2.691, intensity 71; d 2.518, intensity 26; d 2.353, intensity 46; d 1.721, intensity 18; d 1.465, intensity 21

Cell: 3.4922 6.3682 5.0367 Å, 90.00 90.16 90.00°
Positions (direct):
In: 0.0000 0.0000 0.0000
In: 0.0061 0.5000 0.9856
Ga: 0.5027 0.2780 0.4269
Ga: 0.5027 0.7220 0.4269
N: 0.5003 0.0000 0.3197
N: 0.5059 0.5000 0.6849